# Sm4Er11S22
Theoretical powder diffraction line list, a wavelength of 1.5418 Å. Input: a PBE-relaxed structure.

Structure:
Lattice parameters (Å, degrees): 38.951 3.923 11.315 90.00 91.26 90.00
Space group C2/m (No. 12)
One atom of each set of equivalent atoms:
Sm 0.104 0.000 0.012 x4
Sm 0.133 0.500 0.654 x4
Er 0.000 0.000 0.000 x2
Er 0.038 0.500 0.728 x4
Er 0.069 0.000 0.359 x4
Er 0.158 0.500 0.303 x4
Er 0.202 0.000 0.942 x4
Er 0.236 0.500 0.648 x4
S 0.008 0.000 0.239 x4
S 0.048 0.500 0.968 x4
S 0.054 0.500 0.504 x4
S 0.088 0.000 0.752 x4
S 0.093 0.500 0.210 x4
S 0.134 0.000 0.456 x4
S 0.148 0.500 0.908 x4
S 0.168 0.000 0.151 x4
S 0.188 0.000 0.692 x4
S 0.220 0.500 0.410 x4
S 0.245 0.500 0.881 x4

Most intense lines, 2θ from 10° to 80°, in order of rising 2θ:
23.60 deg, intensity 81, hkl 0 0 3; 24.34 deg, intensity 100, hkl 10 0 1; 26.56 deg, intensity 56, hkl 5 1 -1; 27.53 deg, intensity 49, hkl 10 0 -2; 27.80 deg, intensity 63, hkl 1 1 2; 31.67 deg, intensity 62, hkl 9 1 -1; 34.11 deg, intensity 57, hkl 11 1 0; 42.23 deg, intensity 49, hkl 11 1 3; 44.36 deg, intensity 36, hkl 9 1 -4; 46.28 deg, intensity 49, hkl 0 2 0